For Fe6O11F, a PBE+U-relaxed structure gives the theoretical powder XRD pattern in this record (Cu Kα, 1.54184 Å).
Lines closer than 0.1° are merged.

Cell and atoms:
Cell lengths 5.480, 5.480, 7.213 Å; angles 108.63, 108.63, 71.47 degrees
Positions (direct):
Fe (0.000, 0.000, 0.000)
Fe (0.005, 0.005, 0.497)
Fe (0.328, 0.328, 0.847)
Fe (0.334, 0.334, 0.326)
Fe (0.669, 0.669, 0.164)
Fe (0.680, 0.680, 0.665)
O (0.031, 0.644, 0.335)
O (0.105, 0.105, 0.292)
O (0.224, 0.224, 0.037)
O (0.303, 0.695, 0.001)
O (0.363, 0.976, 0.665)
O (0.566, 0.566, 0.375)
O (0.644, 0.031, 0.335)
O (0.695, 0.303, 0.001)
O (0.773, 0.773, 0.957)
O (0.907, 0.907, 0.709)
O (0.976, 0.363, 0.665)
F (0.438, 0.438, 0.635)

Most intense lines, 2θ = 10–80°, low angle first:
27.2 deg, I 95
27.9 deg, I 91
35.8 deg, I 100
39.3 deg, I 20
40.8 deg, I 13
53.8 deg, I 56
54.6 deg, I 53
56.0 deg, I 15
57.6 deg, I 15
62.0 deg, I 15
68.9 deg, I 24
69.0 deg, I 24